The following is a simulated powder X-ray diffraction pattern of Nd4MgRh4O12. It was derived from a PBE-relaxed structure, using Cu Kα X-rays.
No peak broadening, texture or thermal motion is included.

Most intense lines, 5° ≤ 2θ ≤ 70°, in order of rising 2θ:
2θ (°), d [Å], I (rel.)
26.59, 3.353, 30
29.18, 3.060, 41
29.39, 3.039, 100
30.11, 2.968, 52
31.53, 2.837, 26
33.69, 2.660, 61
35.25, 2.546, 21
37.26, 2.413, 13
48.06, 1.893, 22
48.93, 1.861, 13
50.17, 1.818, 22
57.76, 1.596, 15

Atomic structure:
```
data_Nd4MgRh4O12
_space_group_name_H-M_alt 'P 1 m 1'
_space_group_IT_number 6
_cell_length_a 6.2211
_cell_length_b 7.5730
_cell_length_c 6.4193
_cell_angle_alpha 90.00
_cell_angle_beta 107.43
_cell_angle_gamma 90.00
loop_
_space_group_symop_operation_xyz
'x,y,z'
'x,-y,z'
loop_
_atom_site_label
_atom_site_type_symbol
_atom_site_fract_x
_atom_site_fract_y
_atom_site_fract_z
_atom_site_occupancy
Nd1 Nd 0.0000 0.0000 0.0000 1
Nd2 Nd 0.0054 0.5000 0.2331 1
Nd3 Nd 0.4054 0.0000 0.6060 1
Nd4 Nd 0.5077 0.5000 0.7078 1
Mg1 Mg 0.6495 0.0000 0.1667 1
Rh1 Rh 0.4427 0.2736 0.1575 1
Rh2 Rh 0.9505 0.2582 0.6414 1
O1 O 0.0667 0.0000 0.6721 1
O2 O 0.1039 0.2984 0.9754 1
O3 O 0.3149 0.3103 0.4279 1
O4 O 0.3589 0.0000 0.2267 1
O5 O 0.5605 0.5000 0.0938 1
O6 O 0.5801 0.1862 0.9055 1
O7 O 0.7938 0.2179 0.3206 1
O8 O 0.8394 0.5000 0.6111 1
```